Structure and calculated PXRD pattern of SrV2IrS8 (a DFT-relaxed cell (GGA-PBE, Alexandria); Cu Kα (λ = 1.5418 Å)).

Structural model:
abc: 8.875 8.875 8.875
angles: 39.73 39.73 39.73
Positions (direct):
Sr1 0.000 0.000 0.000
V1 0.246 0.246 0.246
V2 0.754 0.754 0.754
Ir1 0.500 0.500 0.500
S1 0.131 0.431 0.769
S2 0.231 0.869 0.569
S3 0.332 0.332 0.332
S4 0.431 0.769 0.131
S5 0.569 0.231 0.869
S6 0.668 0.668 0.668
S7 0.769 0.131 0.431
S8 0.869 0.569 0.231

Largest 8 diffraction maxima, sorted by position, 15° ≤ 2θ ≤ 90°:
d/Å, Rel. int.
5.109, 30
3.974, 100
3.016, 52
2.641, 33
2.426, 51
2.402, 30
1.741, 32
1.690, 38

Structure and calculated PXRD pattern of AcTb2Y7 (a DFT-relaxed cell (GGA-PBE, Alexandria); Cu Kα (λ = 1.5418 Å)).

Structural model:
abc: 9.499 9.499 9.499
angles: 146.68 130.93 60.60
Positions (direct):
Ac1 0.000 0.000 0.000
Tb1 0.211 0.211 0.000
Tb2 0.789 0.789 0.000
Y1 0.067 0.361 0.706
Y2 0.340 0.840 0.500
Y3 0.345 0.639 0.706
Y4 0.500 0.500 0.000
Y5 0.655 0.361 0.294
Y6 0.660 0.160 0.500
Y7 0.933 0.639 0.294

Largest 8 diffraction maxima, sorted by position, 15° ≤ 2θ ≤ 90°:
d/Å, Rel. int.
4.482, 28
3.942, 28
3.135, 51
3.026, 100
2.843, 34
2.758, 40
2.723, 48
2.368, 29